# 1
For Ho3GeTe2, a crystal structure in Alexandria, relaxed with GGA-PBE gives the theoretical powder XRD pattern in this record (Cu Kα (weighted mean of Kα1 and Kα2)).
Neutral-atom scattering factors, no anomalous dispersion.

Crystal structure
Cell: 14.168 13.508 7.434 Å, 79.38 69.57 31.05°
Sites, in units of the cell vectors:
Ho (0.037, 0.536, 0.187)
Ho (0.097, 0.653, 0.653)
Ho (0.187, 0.740, 0.037)
Ho (0.260, 0.813, 0.464)
Ho (0.347, 0.903, 0.903)
Ho (0.464, 0.963, 0.260)
Ho (0.536, 0.037, 0.740)
Ho (0.653, 0.097, 0.097)
Ho (0.740, 0.187, 0.536)
Ho (0.813, 0.260, 0.963)
Ho (0.903, 0.347, 0.347)
Ho (0.963, 0.464, 0.813)
Ge (0.041, 0.041, 0.209)
Ge (0.209, 0.209, 0.041)
Ge (0.791, 0.791, 0.959)
Ge (0.959, 0.959, 0.791)
Te (0.128, 0.128, 0.622)
Te (0.295, 0.295, 0.455)
Te (0.378, 0.378, 0.872)
Te (0.455, 0.455, 0.295)
Te (0.545, 0.545, 0.705)
Te (0.622, 0.622, 0.128)
Te (0.705, 0.705, 0.545)
Te (0.872, 0.872, 0.378)

Largest 10 diffraction maxima, low angle first, 2θ = 10–90°:
2theta	I_rel
29.5	100.0
42.0	11.6
42.2	48.2
42.4	12.2
52.1	12.3
52.4	12.5
61.2	10.8
69.3	19.1
76.9	9.4
77.3	7.1

=====

# 2
For Pm6HoAl2, a crystal structure in Alexandria, relaxed with GGA-PBE gives the theoretical powder XRD pattern in this record (Cu Kα (weighted mean of Kα1 and Kα2)).
Neutral-atom scattering factors, no anomalous dispersion.

Crystal structure
Cell: 6.685 6.685 11.960 Å, 108.55 108.55 32.71°
Sites, in units of the cell vectors:
Pm (0.026, 0.026, 0.325)
Pm (0.311, 0.311, 0.409)
Pm (0.315, 0.315, 0.123)
Pm (0.685, 0.685, 0.877)
Pm (0.689, 0.689, 0.591)
Pm (0.974, 0.974, 0.675)
Ho (0.000, 0.000, 0.000)
Al (0.352, 0.352, 0.804)
Al (0.648, 0.648, 0.196)

Largest 10 diffraction maxima, low angle first, 2θ = 10–90°:
2theta	I_rel
25.2	24.6
30.2	20.6
31.2	47.8
31.9	46.4
32.5	100.0
32.7	99.6
45.0	19.6
47.2	19.9
48.3	20.1
58.7	18.9

=====

# 3
For La2Sm4Hg3O2, a crystal structure in Alexandria, relaxed with GGA-PBE gives the theoretical powder XRD pattern in this record (Cu Kα (weighted mean of Kα1 and Kα2)).
Neutral-atom scattering factors, no anomalous dispersion.

Crystal structure
Cell: 12.434 12.434 12.434 Å, 157.09 157.09 32.62°
Sites, in units of the cell vectors:
La (0.200, 0.200, 0.000)
La (0.800, 0.800, 0.000)
Sm (0.083, 0.583, 0.500)
Sm (0.417, 0.917, 0.500)
Sm (0.583, 0.083, 0.500)
Sm (0.917, 0.417, 0.500)
Hg (0.332, 0.332, 0.000)
Hg (0.500, 0.500, 0.000)
Hg (0.668, 0.668, 0.000)
O (0.101, 0.101, 0.000)
O (0.899, 0.899, 0.000)

Largest 10 diffraction maxima, low angle first, 2θ = 10–90°:
2theta	I_rel
18.3	22.6
26.6	32.7
29.6	12.2
31.9	28.7
34.2	100.0
36.4	60.8
49.2	17.3
52.4	21.4
59.7	22.2
64.1	33.2

=====

# 4
For HoErScCd, a crystal structure in Alexandria, relaxed with GGA-PBE gives the theoretical powder XRD pattern in this record (Cu Kα (weighted mean of Kα1 and Kα2)).
Neutral-atom scattering factors, no anomalous dispersion.

Crystal structure
Cell: 3.533 3.533 8.615 Å, 90.00 90.00 90.00°
Sites, in units of the cell vectors:
Ho (0.000, 0.000, 0.000)
Er (0.000, 0.000, 0.516)
Sc (0.500, 0.500, 0.259)
Cd (0.500, 0.500, 0.756)

Largest 10 diffraction maxima, low angle first, 2θ = 10–90°:
2theta	I_rel
10.3	10.9
25.2	11.4
32.8	100.0
36.0	39.2
42.0	12.4
51.8	13.7
56.4	20.4
62.6	30.2
68.7	11.2
70.8	9.9

=====

# 5
For NbRhC, a crystal structure in Alexandria, relaxed with GGA-PBE gives the theoretical powder XRD pattern in this record (Cu Kα (weighted mean of Kα1 and Kα2)).
Neutral-atom scattering factors, no anomalous dispersion.

Crystal structure
Cell: 9.443 9.443 9.443 Å, 19.19 19.19 19.19°
Sites, in units of the cell vectors:
Nb (0.121, 0.121, 0.121)
Nb (0.879, 0.879, 0.879)
Rh (0.374, 0.374, 0.374)
Rh (0.626, 0.626, 0.626)
C (0.259, 0.259, 0.259)
C (0.741, 0.741, 0.741)

Largest 10 diffraction maxima, low angle first, 2θ = 10–90°:
2theta	I_rel
35.4	100.0
38.9	25.2
42.1	72.5
58.6	27.1
63.5	18.9
70.4	13.1
72.6	23.4
74.8	12.5
77.0	9.4
83.4	2.5

=====

# 6
For NaNdB12, a crystal structure in Alexandria, relaxed with GGA-PBE gives the theoretical powder XRD pattern in this record (Cu Kα (weighted mean of Kα1 and Kα2)).
Neutral-atom scattering factors, no anomalous dispersion.

Crystal structure
Cell: 5.870 5.870 5.870 Å, 60.00 60.00 60.00°
Sites, in units of the cell vectors:
Na (0.000, 0.000, 0.000)
Nd (0.500, 0.500, 0.500)
B (0.101, 0.101, 0.399)
B (0.101, 0.399, 0.101)
B (0.101, 0.399, 0.399)
B (0.399, 0.101, 0.101)
B (0.399, 0.101, 0.399)
B (0.399, 0.399, 0.101)
B (0.601, 0.601, 0.899)
B (0.601, 0.899, 0.601)
B (0.601, 0.899, 0.899)
B (0.899, 0.601, 0.601)
B (0.899, 0.601, 0.899)
B (0.899, 0.899, 0.601)

Largest 10 diffraction maxima, low angle first, 2θ = 10–90°:
2theta	I_rel
18.5	96.3
21.4	37.5
30.5	100.0
35.9	55.4
37.5	44.1
43.6	23.0
47.8	25.0
49.1	46.7
67.7	29.6
71.9	21.2

=====

# 7
For Hf3Pa2TaN6, a crystal structure in Alexandria, relaxed with GGA-PBE gives the theoretical powder XRD pattern in this record (Cu Kα (weighted mean of Kα1 and Kα2)).
Neutral-atom scattering factors, no anomalous dispersion.

Crystal structure
Cell: 5.631 5.631 5.847 Å, 99.23 99.23 120.04°
Sites, in units of the cell vectors:
Hf (0.000, 0.000, 0.000)
Hf (0.337, 0.663, 0.000)
Hf (0.663, 0.337, 0.000)
Pa (0.167, 0.833, 0.500)
Pa (0.833, 0.167, 0.500)
Ta (0.500, 0.500, 0.500)
N (0.084, 0.410, 0.229)
N (0.265, 0.265, 0.770)
N (0.410, 0.084, 0.229)
N (0.590, 0.916, 0.771)
N (0.735, 0.735, 0.230)
N (0.916, 0.590, 0.771)

Largest 10 diffraction maxima, low angle first, 2θ = 10–90°:
2theta	I_rel
32.3	38.1
33.6	100.0
38.6	90.8
54.9	32.4
56.6	29.7
65.2	16.0
66.7	29.9
67.5	14.3
70.7	15.2
82.9	10.0

=====

# 8
For Sc3ZnO, a crystal structure in Alexandria, relaxed with GGA-PBE gives the theoretical powder XRD pattern in this record (Cu Kα (weighted mean of Kα1 and Kα2)).
Neutral-atom scattering factors, no anomalous dispersion.

Crystal structure
Cell: 6.102 6.102 7.278 Å, 107.54 107.54 44.80°
Sites, in units of the cell vectors:
Sc (0.001, 0.001, 0.255)
Sc (0.288, 0.288, 0.145)
Sc (0.289, 0.289, 0.643)
Sc (0.711, 0.711, 0.357)
Sc (0.712, 0.712, 0.855)
Sc (0.999, 0.999, 0.745)
Zn (0.500, 0.500, 0.000)
Zn (0.500, 0.500, 0.500)
O (0.194, 0.194, 0.348)
O (0.806, 0.806, 0.652)

Largest 10 diffraction maxima, low angle first, 2θ = 10–90°:
2theta	I_rel
20.8	10.0
33.6	25.3
35.2	7.9
35.4	7.8
35.6	100.0
38.7	28.8
50.1	12.7
52.2	13.2
65.1	10.7
68.0	13.2

=====

> What is the formula in the seventh record?

Hf3Pa2TaN6